Computed powder X-ray diffraction pattern
Compound: Pa2NiGeC
Radiation: Cu Ka
Structure: the PBE geometry in Alexandria
Kinematic intensities with the Lorentz-polarization factor, no thermal factor.

Structure:
abc: 6.261 3.873 7.828
angles: 90.00 107.28 90.00
Space group P2_1/m (No. 11)
Unique sites:
1 Pa 0.216 0.250 0.384 [2 per cell]
2 Pa 0.231 0.250 0.969 [2 per cell]
3 Ni 0.466 0.750 0.250 [2 per cell]
4 Ge 0.294 0.750 0.690 [2 per cell]
5 C 0.147 0.750 0.164 [2 per cell]

Most intense lines, 10 to 90 degrees two-theta, in order of rising 2θ:
| d_spacing | I (rel.) | (hkl) |
| --- | --- | --- |
| 3.251 | 100 | 1 1 0 |
| 2.989 | 62 | 2 0 0 |
| 2.816 | 48 | 1 0 2 |
| 2.770 | 37 | 2 0 -2 |
| 2.689 | 70 | 0 1 2 |
| 2.676 | 62 | 1 1 -2 |
| 2.492 | 29 | 0 0 3 |
| 2.276 | 35 | 2 0 -3 |
| 2.253 | 33 | 2 1 -2 |
| 2.152 | 22 | 1 1 -3 |
| 1.937 | 36 | 0 2 0 |
| 1.625 | 26 | 2 2 0 |


Computed powder X-ray diffraction pattern
Compound: Pm2Ga3Ir2
Radiation: Cu Ka
Structure: the PBE geometry in Alexandria
Kinematic intensities with the Lorentz-polarization factor, no thermal factor.

Structure:
abc: 4.219 18.534 7.171
angles: 90.00 90.00 90.00
Space group Cmcm (No. 63)
Unique sites:
1 Pm 0.000 0.063 0.250 [4 per cell]
2 Pm 0.000 0.160 0.750 [4 per cell]
3 Ga 0.000 0.225 0.250 [4 per cell]
4 Ga 0.000 0.439 0.073 [8 per cell]
5 Ir 0.000 0.310 0.551 [8 per cell]

Most intense lines, 10 to 90 degrees two-theta, in order of rising 2θ:
| d_spacing | I (rel.) | (hkl) |
| --- | --- | --- |
| 3.134 | 22 | 1 3 1 |
| 2.785 | 23 | 1 5 0 |
| 2.703 | 100 | 1 1 2 |
| 2.596 | 91 | 1 5 1 |
| 2.499 | 60 | 1 3 2 |
| 2.317 | 44 | 0 8 0 |
| 2.199 | 28 | 1 5 2 |
| 2.124 | 64 | 0 4 3 |
| 2.110 | 55 | 2 0 0 |
| 1.645 | 27 | 0 10 2 |
| 1.560 | 26 | 2 8 0 |
| 1.497 | 42 | 2 4 3 |


Computed powder X-ray diffraction pattern
Compound: CsCuAsCl6
Radiation: Cu Ka
Structure: the PBE geometry in Alexandria
Kinematic intensities with the Lorentz-polarization factor, no thermal factor.

Structure:
abc: 6.698 7.054 7.414
angles: 88.55 65.15 83.16
Space group P1 (No. 1)
Unique sites:
1 Cs 0.000 0.000 0.000 [1 per cell]
2 Cu 0.746 0.515 0.561 [1 per cell]
3 As 0.342 0.505 0.360 [1 per cell]
4 Cl 0.338 0.302 0.125 [1 per cell]
5 Cl 0.434 0.711 0.637 [1 per cell]
6 Cl 0.570 0.689 0.121 [1 per cell]
7 Cl 0.629 0.279 0.430 [1 per cell]
8 Cl 0.983 0.325 0.644 [1 per cell]
9 Cl 0.988 0.741 0.425 [1 per cell]

Most intense lines, 10 to 90 degrees two-theta, in order of rising 2θ:
| d_spacing | I (rel.) | (hkl) |
| --- | --- | --- |
| 4.918 | 100 | 0 1 -1 |
| 4.868 | 49 | 1 1 0 |
| 4.785 | 89 | 0 1 1 |
| 4.727 | 57 | 1 1 1 |
| 4.318 | 83 | 1 -1 0 |
| 3.772 | 37 | 1 0 -1 |
| 3.665 | 38 | 1 0 2 |
| 3.198 | 57 | -1 1 1 |
| 2.690 | 37 | 1 2 -1 |
| 2.587 | 41 | 1 2 2 |
| 2.427 | 34 | 1 1 -2 |
| 2.279 | 39 | 2 -2 1 |


Computed powder X-ray diffraction pattern
Compound: Mo8C
Radiation: Cu Ka
Structure: the PBE geometry in Alexandria
Kinematic intensities with the Lorentz-polarization factor, no thermal factor.

Structure:
abc: 7.657 7.657 4.765
angles: 90.00 90.00 90.00
Space group I4/mmm (No. 139)
Unique sites:
1 Mo 0.000 0.284 0.000 [8 per cell]
2 Mo 0.164 0.164 0.500 [8 per cell]
3 C 0.000 0.000 0.000 [2 per cell]

Most intense lines, 10 to 90 degrees two-theta, in order of rising 2θ:
| d_spacing | I (rel.) | (hkl) |
| --- | --- | --- |
| 3.828 | 10 | 2 0 0 |
| 2.781 | 9 | 2 1 1 |
| 2.707 | 11 | 2 2 0 |
| 2.382 | 37 | 0 0 2 |
| 2.250 | 100 | 3 0 1 |
| 1.940 | 14 | 3 2 1 |
| 1.805 | 20 | 3 3 0 |
| 1.788 | 6 | 2 2 2 |
| 1.730 | 7 | 4 1 1 |
| 1.439 | 18 | 3 3 2 |
| 1.348 | 19 | 3 0 3 |
| 1.110 | 9 | 6 3 1 |


Computed powder X-ray diffraction pattern
Compound: CaHo5Pt6
Radiation: Cu Ka
Structure: the PBE geometry in Alexandria
Kinematic intensities with the Lorentz-polarization factor, no thermal factor.

Structure:
abc: 8.515 14.773 4.918
angles: 90.00 125.16 90.00
Space group C2/m (No. 12)
Unique sites:
1 Ca 0.000 0.000 0.000 [2 per cell]
2 Ho 0.000 0.162 0.500 [4 per cell]
3 Ho 0.000 0.332 0.000 [4 per cell]
4 Ho 0.000 0.500 0.500 [2 per cell]
5 Pt 0.233 0.500 0.233 [4 per cell]
6 Pt 0.240 0.327 0.740 [8 per cell]

Most intense lines, 10 to 90 degrees two-theta, in order of rising 2θ:
| d_spacing | I (rel.) | (hkl) |
| --- | --- | --- |
| 7.387 | 1 | 0 2 0 |
| 6.297 | 2 | 1 1 0 |
| 3.480 | 3 | 1 3 -1 |
| 2.461 | 100 | 2 0 -2 |
| 2.019 | 1 | 2 2 1 |
| 1.740 | 17 | 2 6 -2 |
| 1.421 | 26 | 1 3 -3 |
| 1.419 | 9 | 5 3 -3 |
| 1.231 | 5 | 2 6 2 |
| 1.229 | 5 | 4 0 -4 |
| 1.101 | 10 | 1 9 -3 |
| 1.100 | 5 | 4 6 -4 |


Computed powder X-ray diffraction pattern
Compound: O2F
Radiation: Cu Ka
Structure: the PBE geometry in Alexandria
Kinematic intensities with the Lorentz-polarization factor, no thermal factor.

Structure:
abc: 3.762 5.145 5.344
angles: 78.83 78.89 76.34
Space group P1 (No. 1)
Unique sites:
1 O 0.000 0.000 0.000 [1 per cell]
2 O 0.136 0.166 0.057 [1 per cell]
3 O 0.530 0.724 0.518 [1 per cell]
4 O 0.761 0.531 0.586 [1 per cell]
5 F 0.236 0.681 0.080 [1 per cell]
6 F 0.628 0.019 0.551 [1 per cell]

Most intense lines, 10 to 90 degrees two-theta, in order of rising 2θ:
| d_spacing | I (rel.) | (hkl) |
| --- | --- | --- |
| 4.939 | 37 | 0 1 0 |
| 3.889 | 16 | 0 1 1 |
| 3.253 | 12 | 1 1 0 |
| 3.203 | 95 | 1 0 1 |
| 3.114 | 33 | 1 1 1 |
| 2.769 | 100 | 1 0 -1 |
| 2.590 | 82 | 0 0 2 |
| 2.497 | 14 | 1 1 -1 |
| 2.469 | 16 | 0 2 0 |
| 2.456 | 11 | 0 1 2 |
| 1.954 | 11 | 1 2 2 |
| 1.472 | 10 | 1 0 -3 |


Computed powder X-ray diffraction pattern
Compound: SmBe6Au6
Radiation: Cu Ka
Structure: the PBE geometry in Alexandria
Kinematic intensities with the Lorentz-polarization factor, no thermal factor.

Structure:
abc: 4.898 8.585 8.898
angles: 90.00 90.00 90.00
Space group Immm (No. 71)
Unique sites:
1 Sm 0.000 0.000 0.000 [2 per cell]
2 Be 0.000 0.258 0.500 [4 per cell]
3 Be 0.250 0.250 0.250 [8 per cell]
4 Au 0.000 0.000 0.344 [4 per cell]
5 Au 0.000 0.335 0.000 [4 per cell]
6 Au 0.000 0.500 0.318 [4 per cell]

Most intense lines, 10 to 90 degrees two-theta, in order of rising 2θ:
| d_spacing | I (rel.) | (hkl) |
| --- | --- | --- |
| 4.292 | 60 | 0 2 0 |
| 3.089 | 19 | 0 2 2 |
| 3.035 | 32 | 1 2 1 |
| 2.724 | 17 | 0 3 1 |
| 2.537 | 100 | 1 0 3 |
| 2.449 | 47 | 2 0 0 |
| 2.184 | 42 | 1 2 3 |
| 2.160 | 32 | 1 3 2 |
| 2.127 | 21 | 2 2 0 |
| 1.919 | 24 | 2 2 2 |
| 1.430 | 26 | 0 6 0 |
| 1.246 | 23 | 1 6 3 |


Computed powder X-ray diffraction pattern
Compound: Mg2Bi3O8
Radiation: Cu Ka
Structure: the PBE geometry in Alexandria
Kinematic intensities with the Lorentz-polarization factor, no thermal factor.

Structure:
abc: 6.8804 6.8804 9.1257
angles: 90.00 90.00 120.00
Space group P6_3mc (No. 186)
Unique sites:
1 Mg 0.3333 0.6667 0.0000 [2 per cell]
2 Mg 0.3333 0.6667 0.3265 [2 per cell]
3 Bi 0.1680 0.3359 0.7113 [6 per cell]
4 O 0.0000 0.0000 0.3312 [2 per cell]
5 O 0.0519 0.5260 0.8554 [6 per cell]
6 O 0.1953 0.3907 0.1415 [6 per cell]
7 O 0.3333 0.6667 0.5682 [2 per cell]

Most intense lines, 10 to 90 degrees two-theta, in order of rising 2θ:
| d_spacing | I (rel.) | (hkl) |
| --- | --- | --- |
| 4.989 | 36 | 1 0 1 |
| 4.563 | 78 | 0 0 2 |
| 2.979 | 20 | 2 0 0 |
| 2.832 | 100 | 2 0 1 |
| 2.747 | 19 | 1 1 2 |
| 2.495 | 30 | 2 0 2 |
| 2.129 | 48 | 2 0 3 |
| 1.811 | 22 | 2 0 4 |
| 1.720 | 26 | 2 2 0 |
| 1.610 | 27 | 2 2 2 |
| 1.556 | 20 | 2 0 5 |
| 1.470 | 16 | 4 0 1 |


Computed powder X-ray diffraction pattern
Compound: Zr5Pa
Radiation: Cu Ka
Structure: the PBE geometry in Alexandria
Kinematic intensities with the Lorentz-polarization factor, no thermal factor.

Structure:
abc: 12.047 3.140 7.734
angles: 90.00 105.27 90.00
Space group Cm (No. 8)
Unique sites:
1 Zr 0.000 0.000 0.000 [2 per cell]
2 Zr 0.065 0.000 0.647 [2 per cell]
3 Zr 0.156 0.500 0.341 [2 per cell]
4 Zr 0.240 0.500 0.993 [2 per cell]
5 Zr 0.329 0.000 0.672 [2 per cell]
6 Pa 0.400 0.000 0.318 [2 per cell]

Most intense lines, 10 to 90 degrees two-theta, in order of rising 2θ:
| d_spacing | I (rel.) | (hkl) |
| --- | --- | --- |
| 7.461 | 21 | 0 0 1 |
| 5.811 | 12 | 2 0 0 |
| 2.744 | 48 | 1 1 1 |
| 2.656 | 51 | 4 0 -2 |
| 2.494 | 41 | 4 0 1 |
| 2.487 | 41 | 0 0 3 |
| 2.438 | 100 | 3 1 0 |
| 1.908 | 33 | 3 1 -3 |
| 1.613 | 17 | 3 1 3 |
| 1.377 | 11 | 1 1 -5 |
| 1.352 | 12 | 4 2 -2 |
| 1.328 | 28 | 0 2 3 |


Computed powder X-ray diffraction pattern
Compound: AcLa2
Radiation: Cu Ka
Structure: the PBE geometry in Alexandria
Kinematic intensities with the Lorentz-polarization factor, no thermal factor.

Structure:
abc: 6.0026 6.0026 3.7728
angles: 90.00 90.00 120.00
Space group P6/mmm (No. 191)
Unique sites:
1 Ac 0.0000 0.0000 0.0000 [1 per cell]
2 La 0.3333 0.6667 0.5000 [2 per cell]

Most intense lines, 10 to 90 degrees two-theta, in order of rising 2θ:
| d_spacing | I (rel.) | (hkl) |
| --- | --- | --- |
| 3.053 | 100 | 1 0 1 |
| 3.001 | 92 | 1 1 0 |
| 2.140 | 37 | 2 0 1 |
| 1.743 | 40 | 2 1 1 |
| 1.733 | 19 | 3 0 0 |
| 1.597 | 29 | 1 1 2 |
| 1.501 | 12 | 2 2 0 |
| 1.347 | 17 | 3 1 1 |
| 1.276 | 14 | 3 0 2 |
| 1.174 | 11 | 2 2 2 |
| 1.137 | 10 | 3 2 1 |
| 1.134 | 10 | 4 1 0 |


Computed powder X-ray diffraction pattern
Compound: Al2ReH8
Radiation: Cu Ka
Structure: the PBE geometry in Alexandria
Kinematic intensities with the Lorentz-polarization factor, no thermal factor.

Structure:
abc: 3.181 5.307 5.317
angles: 77.07 89.95 89.94
Space group P-1 (No. 2)
Unique sites:
1 Al 0.001 0.189 0.189 [2 per cell]
2 Re 0.000 0.500 0.500 [1 per cell]
3 H 0.002 0.158 0.588 [2 per cell]
4 H 0.002 0.587 0.159 [2 per cell]
5 H 0.499 0.886 0.887 [2 per cell]
6 H 0.500 0.387 0.389 [2 per cell]

Most intense lines, 10 to 90 degrees two-theta, in order of rising 2θ:
| d_spacing | I (rel.) | (hkl) |
| --- | --- | --- |
| 5.177 | 100 | 0 1 0 |
| 4.155 | 23 | 0 1 1 |
| 3.309 | 37 | 0 1 -1 |
| 3.181 | 33 | 1 0 0 |
| 2.710 | 41 | 1 1 0 |
| 2.589 | 14 | 0 2 0 |
| 2.555 | 35 | 0 2 1 |
| 2.526 | 13 | 1 1 1 |
| 2.293 | 25 | 1 1 -1 |
| 2.008 | 14 | 1 -2 0 |
| 1.992 | 34 | 1 2 1 |
| 1.771 | 12 | 1 2 -1 |


Computed powder X-ray diffraction pattern
Compound: CuAg4Se4
Radiation: Cu Ka
Structure: the PBE geometry in Alexandria
Kinematic intensities with the Lorentz-polarization factor, no thermal factor.

Structure:
abc: 6.091 6.091 12.016
angles: 90.00 90.00 90.00
Space group I-42m (No. 121)
Unique sites:
1 Cu 0.000 0.000 0.000 [2 per cell]
2 Ag 0.000 0.000 0.260 [4 per cell]
3 Ag 0.000 0.500 0.000 [4 per cell]
4 Se 0.239 0.239 0.124 [8 per cell]

Most intense lines, 10 to 90 degrees two-theta, in order of rising 2θ:
| d_spacing | I (rel.) | (hkl) |
| --- | --- | --- |
| 5.433 | 6 | 1 0 1 |
| 3.501 | 100 | 1 1 2 |
| 3.046 | 6 | 2 0 0 |
| 2.154 | 36 | 2 2 0 |
| 2.139 | 71 | 2 0 4 |
| 1.834 | 30 | 3 1 2 |
| 1.816 | 14 | 1 1 6 |
| 1.523 | 11 | 4 0 0 |
| 1.388 | 11 | 3 1 6 |
| 1.241 | 22 | 4 2 4 |
| 1.232 | 11 | 2 2 8 |
| 1.172 | 7 | 5 1 2 |


Computed powder X-ray diffraction pattern
Compound: Hg3PClO4
Radiation: Cu Ka
Structure: the PBE geometry in Alexandria
Kinematic intensities with the Lorentz-polarization factor, no thermal factor.

Structure:
abc: 8.502 8.502 8.502
angles: 90.00 90.00 90.00
Space group P2_13 (No. 198)
Unique sites:
1 Hg 0.051 0.396 0.351 [12 per cell]
2 P 0.022 0.522 0.978 [4 per cell]
3 Cl 0.227 0.773 0.273 [4 per cell]
4 O 0.082 0.906 0.624 [12 per cell]
5 O 0.127 0.627 0.873 [4 per cell]

Most intense lines, 10 to 90 degrees two-theta, in order of rising 2θ:
| d_spacing | I (rel.) | (hkl) |
| --- | --- | --- |
| 4.908 | 100 | 1 1 1 |
| 4.251 | 33 | 2 0 0 |
| 3.802 | 61 | 2 1 0 |
| 3.471 | 68 | 2 1 1 |
| 2.834 | 89 | 2 2 1 |
| 2.688 | 63 | 3 0 1 |
| 2.563 | 78 | 3 1 1 |
| 2.272 | 36 | 3 2 1 |
| 2.062 | 48 | 4 0 1 |
| 2.004 | 33 | 3 3 0 |
| 1.855 | 47 | 4 1 2 |
| 1.813 | 35 | 3 3 2 |